This entry pairs a crystal structure of K2TbPmS4 with its theoretical powder X-ray diffraction pattern. Radiation: λ = 1.5418 Å (Cu Kα). Structure: DFT lattice parameters and positions (GGA-PBE).
Kinematic intensities with the Lorentz-polarization factor, no thermal factor.

Principal peaks in the range 2θ from 10° to 90°, by angle:
| d_spacing | Rel. int. |
| --- | --- |
| 7.384 | 71 |
| 3.521 | 25 |
| 3.395 | 33 |
| 2.998 | 100 |
| 2.367 | 18 |
| 2.187 | 35 |
| 2.059 | 34 |
| 1.697 | 17 |

Crystal structure
```
data_K2TbPmS4
_symmetry_space_group_name_H-M 'P 1 2/m 1'
_symmetry_Int_Tables_number 10
_symmetry_space_group_name_Hall '-P 2y'
_cell_length_a 7.133
_cell_length_b 4.118
_cell_length_c 7.756
_cell_angle_alpha 90.00
_cell_angle_beta 107.83
_cell_angle_gamma 90.00
loop_
_atom_site_label
_atom_site_type_symbol
_atom_site_fract_x
_atom_site_fract_y
_atom_site_fract_z
K1 K 0.000 0.000 0.000
K2 K 0.500 0.500 0.000
Tb1 Tb 0.000 0.500 0.500
Pm1 Pm 0.500 0.000 0.500
S1 S 0.230 0.000 0.703
S2 S 0.260 0.500 0.295
```

---

This entry pairs a crystal structure of KPmTiS4 with its theoretical powder X-ray diffraction pattern. Radiation: λ = 1.5418 Å (Cu Kα). Structure: DFT lattice parameters and positions (GGA-PBE).
Kinematic intensities with the Lorentz-polarization factor, no thermal factor.

Principal peaks in the range 2θ from 10° to 90°, by angle:
| d_spacing | Rel. int. |
| --- | --- |
| 8.427 | 100 |
| 5.262 | 22 |
| 4.656 | 26 |
| 3.369 | 31 |
| 3.125 | 21 |
| 2.832 | 37 |
| 2.770 | 32 |
| 2.328 | 26 |

Crystal structure
```
data_KPmTiS4
_symmetry_space_group_name_H-M 'P 1 21/m 1'
_symmetry_Int_Tables_number 11
_symmetry_space_group_name_Hall '-P 2yb'
_cell_length_a 6.757
_cell_length_b 6.738
_cell_length_c 8.838
_cell_angle_alpha 90.00
_cell_angle_beta 107.55
_cell_angle_gamma 90.00
loop_
_atom_site_label
_atom_site_type_symbol
_atom_site_fract_x
_atom_site_fract_y
_atom_site_fract_z
K1 K 0.226 0.250 0.436
Pm1 Pm 0.282 0.250 0.950
Ti1 Ti 0.268 0.750 0.176
S1 S 0.062 0.750 0.333
S2 S 0.066 0.750 0.924
S3 S 0.499 0.005 0.212
```

---

This entry pairs a crystal structure of KPm3Se4 with its theoretical powder X-ray diffraction pattern. Radiation: λ = 1.5418 Å (Cu Kα). Structure: DFT lattice parameters and positions (GGA-PBE).
Kinematic intensities with the Lorentz-polarization factor, no thermal factor.

Principal peaks in the range 2θ from 10° to 90°, by angle:
| d_spacing | Rel. int. |
| --- | --- |
| 3.285 | 32 |
| 3.112 | 59 |
| 2.933 | 100 |
| 2.757 | 36 |
| 2.149 | 37 |
| 2.125 | 74 |
| 2.026 | 34 |
| 1.721 | 20 |

Crystal structure
```
data_KPm3Se4
_symmetry_space_group_name_H-M 'P 63/m m c'
_symmetry_Int_Tables_number 194
_symmetry_space_group_name_Hall '-P 6c 2c'
_cell_length_a 4.2509
_cell_length_b 4.2509
_cell_length_c 29.1241
_cell_angle_alpha 90.00
_cell_angle_beta 90.00
_cell_angle_gamma 120.00
loop_
_atom_site_label
_atom_site_type_symbol
_atom_site_fract_x
_atom_site_fract_y
_atom_site_fract_z
K1 K 0.3333 0.6667 0.2500
Pm1 Pm 0.0000 0.0000 0.0000
Pm2 Pm 0.3333 0.6667 0.6166
Se1 Se 0.0000 0.0000 0.1726
Se2 Se 0.3333 0.6667 0.0584
```

---

This entry pairs a crystal structure of K2PmSnSe4 with its theoretical powder X-ray diffraction pattern. Radiation: λ = 1.5418 Å (Cu Kα). Structure: DFT lattice parameters and positions (GGA-PBE).
Kinematic intensities with the Lorentz-polarization factor, no thermal factor.

Principal peaks in the range 2θ from 10° to 90°, by angle:
| d_spacing | Rel. int. |
| --- | --- |
| 7.189 | 38 |
| 3.113 | 100 |
| 2.397 | 16 |
| 2.201 | 71 |
| 2.105 | 11 |
| 1.797 | 24 |
| 1.392 | 27 |
| 1.271 | 19 |

Crystal structure
```
data_K2PmSnSe4
_symmetry_space_group_name_H-M 'I m m a'
_symmetry_Int_Tables_number 74
_symmetry_space_group_name_Hall '-I 2b 2'
_cell_length_a 8.802
_cell_length_b 8.813
_cell_length_c 12.447
_cell_angle_alpha 90.00
_cell_angle_beta 90.00
_cell_angle_gamma 90.00
loop_
_atom_site_label
_atom_site_type_symbol
_atom_site_fract_x
_atom_site_fract_y
_atom_site_fract_z
K1 K 0.000 0.000 0.000
K2 K 0.250 0.250 0.250
Pm1 Pm 0.000 0.000 0.500
Sn1 Sn 0.250 0.250 0.750
Se1 Se 0.000 0.030 0.738
Se2 Se 0.227 0.250 0.515
```

---

This entry pairs a crystal structure of K4PmTh3Se8 with its theoretical powder X-ray diffraction pattern. Radiation: λ = 1.5418 Å (Cu Kα). Structure: DFT lattice parameters and positions (GGA-PBE).
Kinematic intensities with the Lorentz-polarization factor, no thermal factor.

Principal peaks in the range 2θ from 10° to 90°, by angle:
| d_spacing | Rel. int. |
| --- | --- |
| 7.833 | 65 |
| 3.640 | 21 |
| 3.121 | 100 |
| 2.481 | 19 |
| 2.297 | 39 |
| 2.127 | 35 |
| 1.758 | 19 |
| 1.355 | 16 |

Crystal structure
```
data_K4PmTh3Se8
_symmetry_space_group_name_H-M 'R -3 m'
_symmetry_Int_Tables_number 166
_symmetry_space_group_name_Hall '-R 3 2"'
_cell_length_a 8.5081
_cell_length_b 8.5081
_cell_length_c 23.4983
_cell_angle_alpha 90.00
_cell_angle_beta 90.00
_cell_angle_gamma 120.00
loop_
_atom_site_label
_atom_site_type_symbol
_atom_site_fract_x
_atom_site_fract_y
_atom_site_fract_z
K1 K 0.0000 0.0000 0.0000
K2 K 0.0000 0.5000 0.0000
Pm1 Pm 0.0000 0.0000 0.5000
Th1 Th 0.0000 0.5000 0.5000
Se1 Se 0.0000 0.0000 0.2392
Se2 Se 0.0020 0.5010 0.7614
```

---

This entry pairs a crystal structure of K2PmZn2Se4 with its theoretical powder X-ray diffraction pattern. Radiation: λ = 1.5418 Å (Cu Kα). Structure: DFT lattice parameters and positions (GGA-PBE).
Kinematic intensities with the Lorentz-polarization factor, no thermal factor.

Principal peaks in the range 2θ from 10° to 90°, by angle:
| d_spacing | Rel. int. |
| --- | --- |
| 7.468 | 100 |
| 3.270 | 28 |
| 2.946 | 25 |
| 2.914 | 44 |
| 2.790 | 38 |
| 2.757 | 21 |
| 2.212 | 27 |
| 2.148 | 26 |

Crystal structure
```
data_K2PmZn2Se4
_symmetry_space_group_name_H-M 'C 1 2/m 1'
_symmetry_Int_Tables_number 12
_symmetry_space_group_name_Hall '-C 2y'
_cell_length_a 15.917
_cell_length_b 4.297
_cell_length_c 7.978
_cell_angle_alpha 90.00
_cell_angle_beta 110.59
_cell_angle_gamma 90.00
loop_
_atom_site_label
_atom_site_type_symbol
_atom_site_fract_x
_atom_site_fract_y
_atom_site_fract_z
K1 K 0.129 0.000 0.058
Pm1 Pm 0.000 0.000 0.500
Zn1 Zn 0.178 0.500 0.492
Se1 Se 0.024 0.500 0.262
Se2 Se 0.203 0.000 0.679
```